Structure and computed PXRD pattern of B7C5 (DFT lattice parameters and positions (PBE); a wavelength of 1.5418 Å).
Kinematic intensities with the Lorentz-polarization factor, no thermal factor.

Crystal structure
Cell: 5.829 2.588 6.460 Å, 90.00 96.05 90.00°
Atoms (fractional coordinates):
B1 0.000 0.000 0.000
B2 0.003 0.500 0.634
B3 0.191 0.000 0.260
B4 0.208 0.000 0.534
B5 0.274 0.500 0.065
B6 0.621 0.000 0.601
B7 0.824 0.500 0.313
C1 0.052 0.500 0.879
C2 0.382 0.500 0.858
C3 0.423 0.000 0.746
C4 0.734 0.500 0.529
C5 0.902 0.000 0.211

Main lines, low angle first (10 to 90 degrees two-theta):
(hkl)	Position (°2θ)	I (rel.)
0 0 1	13.8	20
1 0 0	15.3	55
1 0 1	21.7	100
2 0 1	35.3	24
1 1 -1	40.1	49
0 0 3	42.2	7
0 1 2	45.0	7
3 0 1	50.8	8
3 1 -3	72.2	9
0 2 0	73.1	8